Structure and computed powder diffraction line list of In6Ru (a crystal structure in Alexandria, relaxed with GGA-PBE; a wavelength of 1.5418 Å).
Intensities are scaled so that the largest is 100.

Structural model:
Unit cell a=8.418 b=7.413 c=10.294 alpha=90.00 beta=90.00 gamma=90.00
Space group Cmcm (No. 63)
Inequivalent atoms, fractional coordinates:
In (0.000, 0.141, 0.103)
In (0.178, 0.500, 0.000)
In (0.183, 0.216, 0.750)
Ru (0.000, 0.463, 0.250)

Most intense lines, 2θ = 5–70°, in order of rising 2θ:
hkl 0 2 2, 29.70°, intensity 43.8; hkl 1 1 3, 30.61°, intensity 39.7; hkl 0 0 4, 34.86°, intensity 17.0; hkl 3 1 1, 35.29°, intensity 58.4; hkl 0 2 3, 35.66°, intensity 29.4; hkl 2 2 2, 36.72°, intensity 65.2; hkl 1 3 0, 37.95°, intensity 38.8; hkl 3 1 2, 38.52°, intensity 100.0; hkl 2 0 4, 41.11°, intensity 24.3; hkl 0 4 4, 61.66°, intensity 36.8